[1]
Structure and theoretical powder X-ray diffraction pattern of Li3Mn2SbO6 (a cell relaxed with PBE+U; Cu Kα X-rays).
Kinematic intensities with the Lorentz-polarization factor, no thermal factor.

Main lines, by intensity (15° ≤ 2θ ≤ 90°):
- 17.57 deg, rel. 100, (2 0 -1)
- 40.41 deg, rel. 51, (1 1 -2)
- 33.35 deg, rel. 34, (1 1 1)
- 58.81 deg, rel. 22, (0 2 0)
- 41.73 deg, rel. 22, (6 0 0)
- 33.72 deg, rel. 17, (4 0 1)
- 35.32 deg, rel. 15, (3 1 0)
- 45.31 deg, rel. 13, (5 1 -1)

Crystal structure
Unit cell a=13.283 b=3.138 c=6.354 alpha=90.00 beta=102.09 gamma=90.00
Space group C2/m (No. 12)
One atom of each set of equivalent atoms:
Li (0.000, 0.000, 0.000) [2 per cell]
Li (0.165, 0.500, 0.302) [4 per cell]
Mn (0.174, 0.500, 0.849) [4 per cell]
Sb (0.000, 0.000, 0.500) [2 per cell]
O (0.004, 0.500, 0.285) [4 per cell]
O (0.151, 0.000, 0.581) [4 per cell]
O (0.160, 0.000, 0.079) [4 per cell]

[2]
Structure and theoretical powder X-ray diffraction pattern of Li4Mn3SbO8 (a cell relaxed with PBE+U; Cu Kα X-rays).
Kinematic intensities with the Lorentz-polarization factor, no thermal factor.

Main lines, by intensity (15° ≤ 2θ ≤ 90°):
- 17.91 deg, rel. 100, (1 1 0)
- 40.98 deg, rel. 52, (2 0 -2)
- 33.53 deg, rel. 34, (-1 1 2)
- 42.09 deg, rel. 25, (2 2 4)
- 35.39 deg, rel. 21, (0 0 4)
- 17.48 deg, rel. 20, (1 0 1)
- 34.20 deg, rel. 18, (1 1 4)
- 60.80 deg, rel. 14, (4 2 2)

Crystal structure
Unit cell a=6.097 b=6.099 c=10.705 alpha=74.16 beta=74.12 gamma=62.07
Space group P-1 (No. 2)
One atom of each set of equivalent atoms:
Li (0.000, 0.000, 0.000) [1 per cell]
Li (0.000, 0.000, 0.500) [1 per cell]
Li (0.219, 0.762, 0.265) [2 per cell]
Li (0.263, 0.719, 0.765) [2 per cell]
Li (0.500, 0.500, 0.000) [1 per cell]
Li (0.500, 0.500, 0.500) [1 per cell]
Mn (0.000, 0.500, 0.000) [1 per cell]
Mn (0.000, 0.500, 0.500) [1 per cell]
Mn (0.252, 0.247, 0.751) [2 per cell]
Mn (0.500, 0.000, 0.000) [1 per cell]
Mn (0.500, 0.000, 0.500) [1 per cell]
Sb (0.251, 0.249, 0.250) [2 per cell]
O (0.094, 0.635, 0.630) [2 per cell]
O (0.117, 0.173, 0.608) [2 per cell]
O (0.125, 0.128, 0.136) [2 per cell]
O (0.137, 0.592, 0.129) [2 per cell]
O (0.329, 0.383, 0.892) [2 per cell]
O (0.362, 0.902, 0.364) [2 per cell]
O (0.371, 0.375, 0.364) [2 per cell]
O (0.401, 0.862, 0.863) [2 per cell]